Record 1
# Pr2Tm5Sc2
Calculated powder XRD pattern, Cu Kα (weighted mean of Kα1 and Kα2). Input: the GGA-PBE geometry in Alexandria.
Lines closer than 0.1° are merged.

Crystal structure
```
Pr2Tm5Sc2
1.0
6.0384 0.0000 0.0000
-3.0063 5.2423 0.0000
-3.0125 -1.7413 8.5312
Pr Tm Sc
2 5 2
direct
0.1642 0.3354 0.9996 Pr
0.8358 0.6646 0.0004 Pr
0.0605 0.1126 0.3388 Tm
0.2760 0.5570 0.6612 Tm
0.5000 0.0000 0.0000 Tm
0.7240 0.4430 0.3388 Tm
0.9395 0.8874 0.6612 Tm
0.3947 0.7836 0.3406 Sc
0.6053 0.2164 0.6594 Sc
```

The 8 most intense peaks (2θ = 5–70°), low angle first:
- 2θ 31.40, intensity 100
- 2θ 31.46, intensity 33
- 2θ 36.40, intensity 45
- 2θ 36.48, intensity 22
- 2θ 52.38, intensity 16
- 2θ 52.51, intensity 32
- 2θ 62.43, intensity 18
- 2θ 62.52, intensity 23

Record 2
# PrTmSc2
Calculated powder XRD pattern, Cu Kα (weighted mean of Kα1 and Kα2). Input: the GGA-PBE geometry in Alexandria.
Lines closer than 0.1° are merged.

Crystal structure
```
PrTmSc2
1.0
-2.4868 2.4868 4.6140
2.4868 -2.4868 4.6140
2.4868 2.4868 -4.6140
Pr Tm Sc
1 1 2
direct
0.0000 0.0000 0.0000 Pr
0.5000 0.5000 0.0000 Tm
0.2500 0.7500 0.5000 Sc
0.7500 0.2500 0.5000 Sc
```

The 8 most intense peaks (2θ = 5–70°), low angle first:
- 2θ 19.24, intensity 26
- 2θ 25.32, intensity 27
- 2θ 32.00, intensity 100
- 2θ 36.12, intensity 36
- 2θ 39.04, intensity 14
- 2θ 41.24, intensity 15
- 2θ 54.23, intensity 22
- 2θ 62.38, intensity 28

Record 3
# Pr2Tm2Sc7
Calculated powder XRD pattern, Cu Kα (weighted mean of Kα1 and Kα2). Input: the GGA-PBE geometry in Alexandria.
Lines closer than 0.1° are merged.

Crystal structure
```
Pr2Tm2Sc7
1.0
3.1885 -5.3778 0.0000
3.1885 5.3778 0.0000
-0.9092 0.0000 8.9166
Pr Tm Sc
2 2 7
direct
0.1132 0.1132 0.2161 Pr
0.8868 0.8868 0.7839 Pr
0.2065 0.7935 0.5000 Tm
0.7935 0.2065 0.5000 Tm
0.0087 0.4597 0.8329 Sc
0.3737 0.3737 0.6362 Sc
0.4597 0.0087 0.8329 Sc
0.5000 0.5000 0.0000 Sc
0.5403 0.9913 0.1671 Sc
0.6263 0.6263 0.3638 Sc
0.9913 0.5403 0.1671 Sc
```

The 8 most intense peaks (2θ = 5–70°), low angle first:
- 2θ 9.92, intensity 49
- 2θ 25.96, intensity 54
- 2θ 29.85, intensity 50
- 2θ 30.86, intensity 46
- 2θ 33.01, intensity 56
- 2θ 33.32, intensity 41
- 2θ 33.45, intensity 100
- 2θ 35.94, intensity 60